[1]
For La4H, DFT lattice parameters and positions (GGA-PBE) gives the computed PXRD pattern in this record (Cu Kα).

Cell and atoms:
Unit cell a=5.2696 b=5.2696 c=5.2696 alpha=90.00 beta=90.00 gamma=90.00
Fractional coordinates of all 5 atoms:
La 0.0000 0.0000 0.0000
La 0.0000 0.5000 0.5000
La 0.5000 0.0000 0.5000
La 0.5000 0.5000 0.0000
H 0.5000 0.5000 0.5000

Main lines, low angle first (2θ from 10° to 80°):
2theta	I_rel
29.36	100
34.03	51
48.89	37
58.05	44
60.90	13
71.63	6
79.24	18

***

[2]
For La5H, DFT lattice parameters and positions (GGA-PBE) gives the computed PXRD pattern in this record (Cu Kα).

Cell and atoms:
Unit cell a=6.4688 b=6.4688 c=6.0770 alpha=90.00 beta=90.00 gamma=120.00
Fractional coordinates of all 6 atoms:
La 0.0000 0.5000 0.0000
La 0.3333 0.6667 0.5000
La 0.5000 0.0000 0.0000
La 0.5000 0.5000 0.0000
La 0.6667 0.3333 0.5000
H 0.0000 0.0000 0.5000

Main lines, low angle first (2θ from 10° to 80°):
2theta	I_rel
15.82	89
29.40	43
31.33	78
33.55	28
35.28	100
51.17	20
53.37	17
56.03	26
56.94	20
65.37	26

***

[3]
For LiLaH6Ru, DFT lattice parameters and positions (GGA-PBE) gives the computed PXRD pattern in this record (Cu Kα).

Cell and atoms:
Unit cell a=4.7877 b=4.7877 c=4.4354 alpha=90.02 beta=90.02 gamma=60.00
Fractional coordinates of all 9 atoms:
Li 0.0000 0.0000 0.0000
La 0.6666 0.6666 0.4394
H 0.1648 0.1648 0.3335
H 0.1648 0.6701 0.3330
H 0.5051 0.9871 0.9023
H 0.5057 0.5057 0.9014
H 0.6701 0.1648 0.3330
H 0.9871 0.5051 0.9023
Ru 0.3331 0.3331 0.1119

Main lines, low angle first (2θ from 10° to 80°):
2theta	I_rel
20.02	19
21.43	44
29.49	100
37.57	43
42.93	16
46.43	29
48.47	26
61.20	13
62.89	26
74.08	14

***

[4]
For LaMg2H7, DFT lattice parameters and positions (GGA-PBE) gives the computed PXRD pattern in this record (Cu Kα).

Cell and atoms:
Unit cell a=6.3102 b=6.3102 c=9.4995 alpha=90.00 beta=90.00 gamma=90.00
Fractional coordinates of all 40 atoms:
La 0.2284 0.2284 0.0000
La 0.2716 0.7284 0.2500
La 0.7284 0.2716 0.7500
La 0.7716 0.7716 0.5000
Mg 0.0231 0.7377 0.8998
Mg 0.2377 0.4769 0.6498
Mg 0.2623 0.9769 0.6002
Mg 0.4769 0.2377 0.3502
Mg 0.5231 0.7623 0.8502
Mg 0.7377 0.0231 0.1002
Mg 0.7623 0.5231 0.1498
Mg 0.9769 0.2623 0.3998
H 0.0328 0.9632 0.1207
H 0.0368 0.9672 0.3793
H 0.0622 0.4320 0.8231
H 0.0680 0.5622 0.0731
H 0.1626 0.6981 0.5038
H 0.1981 0.3374 0.2538
H 0.2396 0.7604 0.7500
H 0.2604 0.2604 0.5000
H 0.3019 0.8374 0.9962
H 0.3374 0.1981 0.7462
H 0.4320 0.0622 0.1769
H 0.4378 0.9320 0.4269
H 0.4632 0.4672 0.8707
H 0.4672 0.4632 0.1293
H 0.5328 0.5368 0.6293
H 0.5368 0.5328 0.3707
H 0.5622 0.0680 0.9269
H 0.5680 0.9378 0.6769
H 0.6626 0.8019 0.2462
H 0.6981 0.1626 0.4962
H 0.7396 0.7396 0.0000
H 0.7604 0.2396 0.2500
H 0.8019 0.6626 0.7538
H 0.8374 0.3019 0.0038
H 0.9320 0.4378 0.5731
H 0.9378 0.5680 0.3231
H 0.9632 0.0328 0.8793
H 0.9672 0.0368 0.6207

Main lines, low angle first (2θ from 10° to 80°):
2theta	I_rel
16.87	91
27.43	100
28.29	46
31.62	60
33.12	96
42.93	18
47.94	23
49.55	38
53.22	22
56.60	21

***

[5]
For La2MgH8, DFT lattice parameters and positions (GGA-PBE) gives the computed PXRD pattern in this record (Cu Kα).

Cell and atoms:
Unit cell a=6.5819 b=6.5819 c=6.5819 alpha=144.74 beta=135.21 gamma=58.24
Fractional coordinates of all 11 atoms:
La 0.1716 0.1716 0.0000
La 0.8284 0.8284 0.0000
Mg 0.5000 0.5000 0.0000
H 0.1164 0.3656 0.7509
H 0.2546 0.0000 0.2546
H 0.2968 0.7968 0.5000
H 0.3853 0.6344 0.7509
H 0.6147 0.3656 0.2491
H 0.7032 0.2032 0.5000
H 0.7454 0.0000 0.7454
H 0.8836 0.6344 0.2491

Main lines, low angle first (2θ from 10° to 80°):
2theta	I_rel
15.41	39
19.31	31
28.60	100
29.33	94
32.40	70
32.65	24
35.81	27
49.06	48
55.06	32
56.33	29

***

[6]
For La6Mg2HN, DFT lattice parameters and positions (GGA-PBE) gives the computed PXRD pattern in this record (Cu Kα).

Cell and atoms:
Unit cell a=7.3275 b=7.3275 c=7.3212 alpha=119.95 beta=119.95 gamma=90.05
Fractional coordinates of all 10 atoms:
La 0.0000 0.0000 0.0000
La 0.0005 0.0005 0.4820
La 0.0001 0.5191 0.0004
La 0.5184 0.5184 0.5186
La 0.5191 0.0001 0.0004
La 0.5188 0.5188 0.0005
Mg 0.0095 0.5093 0.5003
Mg 0.5093 0.0095 0.5003
H 0.2596 0.2596 0.0003
N 0.7594 0.7594 0.0003

Main lines, low angle first (2θ from 10° to 80°):
2theta	I_rel
17.11	23
24.29	14
29.87	100
34.62	54
38.86	11
42.75	7
49.77	38
59.14	42
62.05	13
73.04	6

***

[7]
For LaMg2H7Pd, DFT lattice parameters and positions (GGA-PBE) gives the computed PXRD pattern in this record (Cu Kα).

Cell and atoms:
Unit cell a=4.7108 b=8.0729 c=11.7029 alpha=90.00 beta=90.00 gamma=90.00
Fractional coordinates of all 44 atoms:
La 0.0013 0.0475 0.2829
La 0.4987 0.9525 0.7829
La 0.5013 0.4525 0.7171
La 0.9987 0.5475 0.2171
Mg 0.0040 0.2800 0.9000
Mg 0.0100 0.6636 0.8929
Mg 0.4900 0.3364 0.3929
Mg 0.4960 0.7200 0.4000
Mg 0.5040 0.2200 0.1000
Mg 0.5100 0.8364 0.1071
Mg 0.9900 0.1636 0.6071
Mg 0.9960 0.7800 0.6000
H 0.0188 0.4701 0.7959
H 0.0265 0.4079 0.6311
H 0.0376 0.3312 0.3862
H 0.0815 0.6649 0.4405
H 0.1022 0.9893 0.4863
H 0.2302 0.2851 0.2161
H 0.2484 0.2112 0.7645
H 0.2516 0.7888 0.2645
H 0.2698 0.7149 0.7161
H 0.3978 0.0107 0.9863
H 0.4185 0.3351 0.9405
H 0.4624 0.6688 0.8862
H 0.4735 0.5921 0.1311
H 0.4812 0.5299 0.2959
H 0.5188 0.0299 0.2041
H 0.5265 0.0921 0.3689
H 0.5376 0.1688 0.6138
H 0.5815 0.8351 0.5595
H 0.6022 0.5107 0.5137
H 0.7302 0.2149 0.7839
H 0.7484 0.2888 0.2355
H 0.7516 0.7112 0.7355
H 0.7698 0.7851 0.2839
H 0.8978 0.4893 0.0137
H 0.9185 0.1649 0.0595
H 0.9624 0.8312 0.1138
H 0.9735 0.9079 0.8689
H 0.9812 0.9701 0.7041
Pd 0.0312 0.9765 0.0067
Pd 0.4688 0.0235 0.5067
Pd 0.5312 0.5235 0.9933
Pd 0.9688 0.4765 0.4933

Main lines, low angle first (2θ from 10° to 80°):
2theta	I_rel
20.32	48
22.02	59
23.14	27
29.74	35
30.14	59
31.78	100
37.98	38
38.21	37
51.70	27
59.81	25

***

[8]
For LaMgTcH6, DFT lattice parameters and positions (GGA-PBE) gives the computed PXRD pattern in this record (Cu Kα).

Cell and atoms:
Unit cell a=4.7591 b=4.7591 c=4.6271 alpha=90.00 beta=90.00 gamma=120.00
Fractional coordinates of all 9 atoms:
La 0.0000 0.0000 0.0000
Mg 0.6667 0.3333 0.5000
Tc 0.3333 0.6667 0.5000
H 0.0360 0.5180 0.2290
H 0.0360 0.5180 0.7710
H 0.4820 0.5180 0.2290
H 0.4820 0.5180 0.7710
H 0.4820 0.9640 0.2290
H 0.4820 0.9640 0.7710

Main lines, low angle first (2θ from 10° to 80°):
2theta	I_rel
21.56	22
29.01	100
37.81	38
38.93	11
44.93	7
48.35	24
55.39	25
62.96	22
64.51	10
68.27	7

***

[9]
For LaMn2H8, DFT lattice parameters and positions (GGA-PBE) gives the computed PXRD pattern in this record (Cu Kα).

Cell and atoms:
Unit cell a=4.8319 b=4.8319 c=3.8106 alpha=90.00 beta=90.00 gamma=117.28
Fractional coordinates of all 11 atoms:
La 0.0000 0.0000 0.0000
Mn 0.3258 0.6742 0.5000
Mn 0.6742 0.3258 0.5000
H 0.0257 0.3192 0.5000
H 0.3061 0.6939 0.0000
H 0.3192 0.0257 0.5000
H 0.5000 0.5000 0.2647
H 0.5000 0.5000 0.7353
H 0.6808 0.9743 0.5000
H 0.6939 0.3061 0.0000
H 0.9743 0.6808 0.5000

Main lines, low angle first (2θ from 10° to 80°):
2theta	I_rel
20.68	27
31.38	100
31.97	56
35.71	32
37.26	54
47.73	14
48.67	33
61.46	15
62.06	24
64.23	16

***

[10]
For LaMnH6Pd, DFT lattice parameters and positions (GGA-PBE) gives the computed PXRD pattern in this record (Cu Kα).

Cell and atoms:
Unit cell a=4.6882 b=4.6882 c=4.4670 alpha=90.00 beta=90.00 gamma=120.00
Fractional coordinates of all 9 atoms:
La 0.0000 0.0000 0.0000
Mn 0.3333 0.6667 0.5000
H 0.0241 0.5121 0.2421
H 0.0241 0.5121 0.7579
H 0.4879 0.5121 0.2421
H 0.4879 0.5121 0.7579
H 0.4879 0.9759 0.2421
H 0.4879 0.9759 0.7579
Pd 0.6667 0.3333 0.5000

Main lines, low angle first (2θ from 10° to 80°):
2theta	I_rel
21.89	9
29.74	100
38.40	45
40.38	12
49.31	24
56.95	28
64.17	22
66.94	9
69.45	7
79.90	6

***

What is the formula in the third record? LiLaH6Ru